# Li4PS4
Simulated XRD peak list, copper Kα. Input: a structure optimized by DFT (GGA-PBE).

Top 6 peaks for 10° ≤ 2θ ≤ 90°, in order of rising 2θ:
- 14.2°, I 18.4
- 22.3°, I 100.0
- 32.1°, I 39.8
- 40.4°, I 17.1
- 47.1°, I 37.6
- 52.5°, I 16.9

Structure:
Unit cell a=6.6212 b=6.6212 c=6.6212 alpha=96.52 beta=96.52 gamma=140.62
Sites, in units of the cell vectors:
Li: 0.1579 0.6912 0.8491
Li: 0.3088 0.1579 0.4667
Li: 0.6912 0.8421 0.5333
Li: 0.8421 0.3088 0.1509
P: 0.5000 0.5000 0.0000
S: 0.2571 0.4361 0.6933
S: 0.4361 0.7429 0.1790
S: 0.5639 0.2571 0.8210
S: 0.7429 0.5639 0.3067